No. 1
Cs6K23Rb: theoretical PXRD pattern (Cu Ka), based on a crystal structure in Alexandria, relaxed with GGA-PBE.
Lines closer than 0.1° are merged.

Most intense lines, 2θ from 10° to 90°, by angle:
2θ/deg, d_spacing, Rel. int.
14.29, 6.196, 15.4
16.52, 5.366, 20.2
18.49, 4.800, 17.1
21.51, 4.131, 47.5
23.44, 3.795, 100.0
24.89, 3.578, 13.2
32.03, 2.795, 11.7
40.07, 2.250, 11.8
41.21, 2.191, 24.2
43.62, 2.075, 20.4

Structure:
```
Cs6K23Rb
1.0
0.000 10.733 10.733
10.733 0.000 10.733
10.733 10.733 0.000
Cs K Rb
6 23 1
direct
0.222 0.222 0.778 Cs
0.222 0.778 0.222 Cs
0.222 0.778 0.778 Cs
0.778 0.222 0.222 Cs
0.778 0.222 0.778 Cs
0.778 0.778 0.222 Cs
0.000 0.000 0.500 K
0.000 0.500 0.000 K
0.000 0.500 0.500 K
0.140 0.620 0.620 K
0.169 0.169 0.169 K
0.169 0.169 0.494 K
0.169 0.494 0.169 K
0.380 0.380 0.380 K
0.380 0.380 0.860 K
0.380 0.860 0.380 K
0.494 0.169 0.169 K
0.500 0.000 0.000 K
0.500 0.000 0.500 K
0.500 0.500 0.000 K
0.500 0.500 0.500 K
0.506 0.831 0.831 K
0.620 0.140 0.620 K
0.620 0.620 0.140 K
0.620 0.620 0.620 K
0.831 0.506 0.831 K
0.831 0.831 0.506 K
0.831 0.831 0.831 K
0.860 0.380 0.380 K
0.000 0.000 0.000 Rb
```

No. 2
Na2ScInSi4O12: theoretical PXRD pattern (Cu Ka), based on a crystal structure in Alexandria, relaxed with GGA-PBE.
Lines closer than 0.1° are merged.

Most intense lines, 2θ from 10° to 90°, by angle:
2θ/deg, d_spacing, Rel. int.
13.34, 6.639, 62.8
19.28, 4.605, 20.0
19.42, 4.572, 30.3
23.89, 3.724, 20.6
28.76, 3.104, 100.0
29.61, 3.016, 46.4
33.80, 2.652, 23.9
34.64, 2.589, 35.3
35.02, 2.562, 38.3
40.86, 2.209, 22.3

Structure:
```
Na2ScInSi4O12
1.0
5.022 -4.605 0.000
5.022 4.605 0.000
-1.634 0.000 5.179
Na Sc In Si O
2 1 1 4 12
direct
0.000 0.000 0.000 Na
0.603 0.397 0.500 Na
0.409 0.591 0.000 Sc
0.196 0.804 0.500 In
0.097 0.322 0.504 Si
0.505 0.077 0.997 Si
0.678 0.903 0.496 Si
0.923 0.495 0.003 Si
0.103 0.658 0.095 O
0.190 0.098 0.434 O
0.263 0.500 0.606 O
0.342 0.897 0.905 O
0.418 0.306 0.058 O
0.500 0.737 0.394 O
0.640 0.054 0.771 O
0.657 0.042 0.273 O
0.694 0.582 0.942 O
0.902 0.810 0.566 O
0.946 0.360 0.229 O
0.958 0.343 0.727 O
```

No. 3
MgTi2O5: theoretical PXRD pattern (Cu Ka), based on a crystal structure in Alexandria, relaxed with GGA-PBE.
Lines closer than 0.1° are merged.

Most intense lines, 2θ from 10° to 90°, by angle:
2θ/deg, d_spacing, Rel. int.
17.81, 4.979, 54.4
25.24, 3.528, 100.0
26.80, 3.326, 22.8
32.44, 2.760, 71.0
36.05, 2.492, 18.7
40.53, 2.226, 25.7
45.56, 1.991, 37.0
48.22, 1.887, 35.2
51.94, 1.760, 19.7
59.37, 1.557, 45.7

Structure:
```
MgTi2O5
1.0
1.887 -4.979 0.000
1.887 4.979 0.000
0.000 0.000 9.946
Mg Ti O
2 4 10
direct
0.144 0.856 0.500 Mg
0.856 0.144 0.000 Mg
0.136 0.864 0.878 Ti
0.184 0.816 0.182 Ti
0.816 0.184 0.682 Ti
0.864 0.136 0.378 Ti
0.042 0.958 0.314 O
0.048 0.952 0.053 O
0.255 0.745 0.698 O
0.293 0.707 0.013 O
0.318 0.682 0.355 O
0.682 0.318 0.855 O
0.707 0.293 0.513 O
0.745 0.255 0.198 O
0.952 0.048 0.553 O
0.958 0.042 0.814 O
```

No. 4
Cd2Te: theoretical PXRD pattern (Cu Ka), based on a crystal structure in Alexandria, relaxed with GGA-PBE.
Lines closer than 0.1° are merged.

Most intense lines, 2θ from 10° to 90°, by angle:
2θ/deg, d_spacing, Rel. int.
29.74, 3.004, 100.0
30.57, 2.924, 69.9
30.90, 2.894, 90.2
35.63, 2.520, 61.3
41.61, 2.171, 42.1
42.54, 2.125, 34.7
44.29, 2.045, 33.7
44.75, 2.025, 57.2
67.80, 1.382, 17.8
68.43, 1.371, 17.2

Structure:
```
Cd2Te
1.0
6.772 -1.557 0.000
6.772 1.557 0.000
-4.012 0.000 7.707
Cd Te
4 2
direct
0.124 0.124 0.092 Cd
0.363 0.363 0.587 Cd
0.637 0.637 0.413 Cd
0.876 0.876 0.908 Cd
0.379 0.379 0.244 Te
0.621 0.621 0.756 Te
```